Entry 1:
Simulated powder XRD pattern
Compound: LiTeWN2
Radiation: Cu Kα X-rays
Structure: a GGA-PBE-relaxed structure
Neutral-atom scattering factors, no anomalous dispersion.

Structural model:
Unit cell a=3.926 b=3.926 c=5.665 alpha=90.00 beta=90.00 gamma=90.00
Atoms (fractional coordinates):
Li 0.000 0.000 0.000
Te 0.500 0.500 0.000
W 0.500 0.500 0.500
N 0.000 0.500 0.500
N 0.500 0.000 0.500

Peak list (10 most intense, 5 to 70 degrees two-theta, by intensity)
| 2θ/deg | I/Imax |
| --- | --- |
| 22.6 | 100 |
| 39.2 | 48 |
| 32.2 | 36 |
| 45.8 | 28 |
| 31.6 | 28 |
| 62.2 | 25 |
| 52.1 | 21 |
| 57.1 | 20 |
| 46.2 | 19 |
| 15.6 | 9 |



Entry 2:
Simulated powder XRD pattern
Compound: LiZr2TiN4
Radiation: Cu Kα X-rays
Structure: a GGA-PBE-relaxed structure
Neutral-atom scattering factors, no anomalous dispersion.

Structural model:
Unit cell a=5.474 b=4.493 c=5.466 alpha=65.84 beta=48.50 gamma=65.66
Atoms (fractional coordinates):
Li 0.000 0.000 0.000
Zr 0.250 0.250 0.250
Zr 0.750 0.750 0.750
Ti 0.469 0.469 0.531
N 0.026 0.501 0.974
N 0.269 0.733 0.267
N 0.501 0.026 0.499
N 0.733 0.269 0.731

Peak list (10 most intense, 5 to 70 degrees two-theta, by intensity)
| 2θ/deg | I/Imax |
| --- | --- |
| 40.1 | 100 |
| 19.9 | 67 |
| 34.7 | 63 |
| 34.6 | 62 |
| 58.4 | 59 |
| 40.5 | 49 |
| 45.2 | 33 |
| 28.0 | 31 |
| 28.1 | 29 |
| 22.2 | 27 |